This entry pairs a crystal structure of Mn2GaFe5 with its simulated X-ray powder pattern. Radiation: Cu Kα X-rays. Structure: DFT lattice parameters and positions (GGA-PBE).
Peak positions follow from Bragg's law for the DFT cell and can differ from measured ones.

Most intense lines, 10 to 80 degrees two-theta, in order of rising 2θ:
d/Å  2theta  intensity
3.509  25.38  23
3.039  29.39  38
2.297  39.22  50
2.046  44.28  87
2.026  44.74  81
2.020  44.86  100
2.003  45.27  83
1.928  47.13  44
1.663  55.25  48
1.284  73.77  18

Structure:
```
Mn2GaFe5
1.0
2.337 -3.509 0.000
2.337 3.509 0.000
-1.022 0.000 6.077
Mn Ga Fe
2 1 5
Direct
0.180 0.180 0.139
0.820 0.820 0.861
0.500 0.500 0.500
0.000 0.000 0.500
0.136 0.483 0.816
0.483 0.136 0.816
0.517 0.864 0.184
0.864 0.517 0.184
```